(1)
The following is a simulated powder diffraction line list of Li6Fe3NiP6O24. It was derived from a structure optimized by DFT (PBE+U), using Cu Kα.

Principal peaks in the range 10° ≤ 2θ ≤ 90°, sorted by position:
2θ 14.37, d 6.163, I 32, hkl 0 1 1; 2θ 20.12, d 4.414, I 48, hkl 0 1 -1; 2θ 20.62, d 4.306, I 58, hkl 1 2 1; 2θ 20.74, d 4.282, I 28, hkl 2 1 1; 2θ 23.86, d 3.729, I 100, hkl 1 2 0; 2θ 23.98, d 3.711, I 50, hkl 2 0 1; 2θ 28.95, d 3.084, I 33, hkl 0 2 2; 2θ 31.23, d 2.864, I 24, hkl 1 0 -2; 2θ 32.78, d 2.732, I 32, hkl 1 2 3; 2θ 35.19, d 2.550, I 27, hkl 1 -2 1

Structural model:
a b c (Å): 8.570 8.616 8.622
angles (deg): 61.70 61.68 61.85
Space group P1 (No. 1)
Symmetry-distinct sites (fractional):
Li 0.000 0.000 0.000
Li 0.089 0.869 0.512
Li 0.181 0.373 0.439
Li 0.362 0.723 0.149
Li 0.623 0.560 0.813
Li 0.823 0.229 0.659
Fe 0.197 0.570 0.014
Fe 0.488 0.865 0.300
Fe 0.698 0.079 0.513
Ni 0.988 0.364 0.807
P 0.093 0.169 0.203
P 0.297 0.967 0.697
P 0.390 0.468 0.609
P 0.592 0.261 0.116
P 0.792 0.765 0.909
P 0.888 0.679 0.411
O 0.037 0.191 0.049
O 0.080 0.643 0.253
O 0.113 0.135 0.713
O 0.154 0.329 0.164
O 0.231 0.415 0.632
O 0.247 0.973 0.234
O 0.270 0.813 0.893
O 0.314 0.910 0.544
O 0.352 0.526 0.772
O 0.401 0.635 0.423
O 0.439 0.457 0.087
O 0.472 0.008 0.652
O 0.527 0.104 0.155
O 0.581 0.311 0.592
O 0.600 0.793 0.065
O 0.647 0.225 0.278
O 0.719 0.733 0.356
O 0.756 0.271 0.927
O 0.794 0.949 0.741
O 0.812 0.608 0.856
O 0.877 0.836 0.459
O 0.894 0.492 0.574
O 0.938 0.149 0.399
O 0.955 0.721 0.970

---

(2)
The following is a simulated powder diffraction line list of Li7Fe3NiP6O24. It was derived from a structure optimized by DFT (PBE+U), using Cu Kα.

Principal peaks in the range 10° ≤ 2θ ≤ 90°, sorted by position:
2θ 14.33, d 6.179, I 23, hkl 0 1 2; 2θ 20.14, d 4.408, I 28, hkl 1 1 0; 2θ 20.51, d 4.331, I 61, hkl 1 0 4; 2θ 23.84, d 3.732, I 100, hkl 1 1 3; 2θ 28.90, d 3.089, I 36, hkl 0 2 4; 2θ 31.29, d 2.859, I 20, hkl 3 -1 1; 2θ 32.63, d 2.744, I 41, hkl 1 1 6; 2θ 35.27, d 2.545, I 25, hkl 3 0 0; 2θ 35.48, d 2.530, I 18, hkl 3 -1 4; 2θ 55.13, d 1.666, I 18, hkl 1 4 0

Structural model:
a b c (Å): 8.8159 8.8159 21.0386
angles (deg): 90.00 90.00 120.00
Space group R3 (No. 146, hexagonal axes)
Symmetry-distinct sites (fractional):
Li 0.0000 0.0000 0.0000
Li 0.0223 0.7818 0.5295
Li 0.0326 0.4240 0.7534
Fe 0.0000 0.0000 0.3450
Fe 0.0000 0.0000 0.6365
Fe 0.0000 0.0000 0.8507
Ni 0.0000 0.0000 0.1388
P 0.0029 0.2970 0.2402
P 0.0045 0.7084 0.7392
O 0.0089 0.1981 0.2989
O 0.0236 0.1910 0.9101
O 0.0276 0.2197 0.1779
O 0.1408 0.6895 0.4690
O 0.1452 0.6721 0.3483
O 0.1565 0.6853 0.0740
O 0.1634 0.4885 0.2376
O 0.1850 0.7164 0.7368

---

(3)
The following is a simulated powder diffraction line list of Li4FeNi3P4O16. It was derived from a structure optimized by DFT (PBE+U), using Cu Kα.

Principal peaks in the range 10° ≤ 2θ ≤ 90°, sorted by position:
2θ 17.42, d 5.092, I 38, hkl 0 0 2; 2θ 20.70, d 4.291, I 48, hkl 1 0 1; 2θ 25.56, d 3.486, I 88, hkl 1 1 1; 2θ 29.90, d 2.988, I 60, hkl 0 2 0; 2θ 32.46, d 2.758, I 20, hkl 1 0 3; 2θ 35.86, d 2.504, I 100, hkl 1 1 -3; 2θ 36.65, d 2.452, I 25, hkl 1 2 1; 2θ 52.51, d 1.743, I 36, hkl 2 2 -2; 2θ 57.03, d 1.615, I 24, hkl 1 3 -3; 2θ 62.13, d 1.494, I 18, hkl 0 4 0

Structural model:
a b c (Å): 4.732 5.976 10.184
angles (deg): 90.00 90.03 90.00
Space group Pm (No. 6)
Symmetry-distinct sites (fractional):
Li 0.000 0.249 0.000
Li 0.500 0.250 0.497
Fe 0.523 0.500 0.777
Ni 0.020 0.000 0.721
Ni 0.481 0.000 0.223
Ni 0.979 0.500 0.275
P 0.084 0.500 0.590
P 0.414 0.500 0.095
P 0.585 0.000 0.905
P 0.916 0.000 0.404
O 0.204 0.500 0.448
O 0.222 0.292 0.661
O 0.240 0.000 0.399
O 0.260 0.000 0.898
O 0.274 0.293 0.165
O 0.295 0.500 0.953
O 0.700 0.000 0.048
O 0.727 0.204 0.834
O 0.739 0.500 0.099
O 0.761 0.500 0.595
O 0.775 0.206 0.333
O 0.798 0.000 0.547

---

(4)
The following is a simulated powder diffraction line list of Li4TiFe2Ni3P6O24. It was derived from a structure optimized by DFT (PBE+U), using Cu Kα.

Principal peaks in the range 10° ≤ 2θ ≤ 90°, sorted by position:
2θ 20.25, d 4.386, I 100, hkl 0 1 -1; 2θ 23.88, d 3.727, I 20, hkl 0 2 1; 2θ 23.96, d 3.715, I 37, hkl 1 0 2; 2θ 24.02, d 3.704, I 19, hkl 1 2 0; 2θ 24.19, d 3.680, I 37, hkl 2 1 0; 2θ 32.79, d 2.731, I 38, hkl 1 2 3; 2θ 32.98, d 2.716, I 34, hkl 2 1 3; 2θ 33.22, d 2.697, I 31, hkl 3 1 2; 2θ 35.36, d 2.538, I 20, hkl 1 -2 1; 2θ 35.50, d 2.529, I 39, hkl -2 1 1

Structural model:
a b c (Å): 8.505 8.603 8.603
angles (deg): 61.40 61.53 61.76
Space group P1 (No. 1)
Symmetry-distinct sites (fractional):
Li 0.000 0.000 0.000
Li 0.105 0.854 0.510
Li 0.214 0.340 0.450
Li 0.659 0.551 0.789
Ti 0.213 0.547 0.000
Fe 0.374 0.703 0.147
Fe 0.852 0.207 0.649
Ni 0.006 0.351 0.798
Ni 0.506 0.851 0.294
Ni 0.721 0.057 0.501
P 0.111 0.147 0.193
P 0.308 0.946 0.688
P 0.414 0.446 0.597
P 0.606 0.250 0.109
P 0.808 0.748 0.899
P 0.917 0.665 0.395
O 0.046 0.176 0.042
O 0.120 0.122 0.698
O 0.124 0.600 0.250
O 0.182 0.313 0.132
O 0.260 0.379 0.628
O 0.261 0.804 0.898
O 0.263 0.951 0.222
O 0.317 0.878 0.549
O 0.353 0.514 0.765
O 0.429 0.608 0.410
O 0.464 0.462 0.053
O 0.484 0.980 0.647
O 0.519 0.110 0.157
O 0.605 0.289 0.600
O 0.616 0.783 0.050
O 0.658 0.232 0.264
O 0.763 0.736 0.317
O 0.774 0.251 0.917
O 0.832 0.594 0.840
O 0.836 0.927 0.731
O 0.905 0.477 0.565
O 0.924 0.812 0.443
O 0.961 0.143 0.389
O 0.976 0.678 0.974

---

(5)
The following is a simulated powder diffraction line list of Li4Fe3Ni2Sb3O16. It was derived from a structure optimized by DFT (PBE+U), using Cu Kα.

Principal peaks in the range 10° ≤ 2θ ≤ 90°, sorted by position:
2θ 18.07, d 4.908, I 100, hkl 0 0 2; 2θ 18.98, d 4.675, I 70, hkl 2 0 -1; 2θ 19.11, d 4.645, I 33, hkl 1 1 1; 2θ 24.64, d 3.613, I 24, hkl 2 0 -2; 2θ 32.27, d 2.774, I 23, hkl 1 1 3; 2θ 35.05, d 2.560, I 42, hkl 4 0 -1; 2θ 35.19, d 2.550, I 48, hkl 4 0 1; 2θ 43.89, d 2.063, I 26, hkl 2 2 -3; 2θ 44.18, d 2.050, I 33, hkl 4 0 3; 2θ 60.61, d 1.528, I 42, hkl 0 4 0

Structural model:
a b c (Å): 10.594 6.107 9.817
angles (deg): 90.00 90.64 90.00
Space group Cm (No. 8)
Symmetry-distinct sites (fractional):
Li 0.000 0.000 0.000
Li 0.002 0.000 0.516
Li 0.164 0.500 0.108
Li 0.330 0.000 0.634
Fe 0.076 0.254 0.792
Fe 0.160 0.000 0.289
Ni 0.150 0.500 0.532
Ni 0.318 0.000 0.996
Sb 0.321 0.500 0.792
Sb 0.407 0.247 0.291
O 0.010 0.500 0.673
O 0.066 0.237 0.400
O 0.151 0.000 0.902
O 0.162 0.500 0.905
O 0.236 0.279 0.669
O 0.253 0.228 0.178
O 0.328 0.000 0.405
O 0.337 0.500 0.403
O 0.408 0.265 0.906
O 0.478 0.000 0.175
O 0.487 0.500 0.695
O 0.488 0.500 0.186

---

(6)
The following is a simulated powder diffraction line list of Li4Fe3Ni3Sn2O16. It was derived from a structure optimized by DFT (PBE+U), using Cu Kα.

Principal peaks in the range 10° ≤ 2θ ≤ 90°, sorted by position:
2θ 18.31, d 4.845, I 28, hkl 0 0 2; 2θ 19.39, d 4.577, I 31, hkl 0 1 -1; 2θ 19.60, d 4.529, I 100, hkl 1 -1 1; 2θ 19.70, d 4.506, I 68, hkl -1 1 1; 2θ 25.41, d 3.506, I 32, hkl 0 1 2; 2θ 32.71, d 2.738, I 29, hkl 1 0 -3; 2θ 32.90, d 2.722, I 41, hkl -1 1 3; 2θ 35.29, d 2.543, I 39, hkl 1 1 -2; 2θ 35.66, d 2.518, I 56, hkl -1 2 2; 2θ 62.60, d 1.484, I 37, hkl 2 2 0

Structural model:
a b c (Å): 5.877 5.933 9.691
angles (deg): 90.56 90.15 119.61
Space group P1 (No. 1)
Symmetry-distinct sites (fractional):
Li 0.000 0.000 0.000
Li 0.001 0.004 0.503
Li 0.335 0.673 0.403
Li 0.665 0.330 0.900
Fe 0.171 0.342 0.722
Fe 0.340 0.172 0.221
Fe 0.831 0.172 0.222
Ni 0.169 0.832 0.721
Ni 0.661 0.831 0.721
Ni 0.830 0.663 0.222
Sn 0.334 0.666 0.998
Sn 0.669 0.343 0.499
O 0.004 0.003 0.315
O 0.030 0.513 0.847
O 0.162 0.324 0.108
O 0.166 0.844 0.105
O 0.326 0.172 0.608
O 0.337 0.676 0.619
O 0.479 0.510 0.847
O 0.483 0.961 0.841
O 0.517 0.489 0.348
O 0.518 0.038 0.349
O 0.663 0.333 0.114
O 0.683 0.837 0.106
O 0.844 0.694 0.609
O 0.848 0.176 0.606
O 0.967 0.498 0.347
O 0.996 0.995 0.811